Calculated powder diffractogram of Mg2MnO3 for a wavelength of 1.5418 Å, from a structure optimized by DFT (GGA+U).

Crystal structure
```
data_Mg2MnO3
_space_group_name_H-M_alt 'C 1 c 1'
_space_group_IT_number 9
_space_group_name_Hall 'C -2yc'
_cell_length_a 5.7367
_cell_length_b 9.9512
_cell_length_c 5.7343
_cell_angle_alpha 90.00
_cell_angle_beta 109.43
_cell_angle_gamma 90.00
loop_
_atom_site_label
_atom_site_fract_x
_atom_site_fract_y
_atom_site_fract_z
_atom_site_occupancy
Mg1 0.0000 0.0828 0.0000 1
Mg2 0.4993 0.2520 0.0001 1
Mn1 0.4983 0.0854 0.4975 1
O1 0.1120 0.0827 0.3699 1
O2 0.1294 0.2427 0.8706 1
O3 0.1320 0.4103 0.3839 1
```

Main lines, by angle (15° ≤ 2θ ≤ 90°):
2θ (°)  I_rel  hkl
18.67  8  1 1 0
24.31  5  0 2 1
32.98  3  1 1 -2
33.11  100  0 0 2
38.42  12  1 3 1
55.46  50  1 3 -3
66.13  30  3 3 1
66.21  3  2 0 -4
69.48  3  4 0 0
82.26  4  2 6 2